Entry 1:
Diffraction record for Rb2NpTlO5. The powder diffractogram is calculated, not measured: it uses a cell relaxed with GGA-PBE and Cu Kα X-rays.

Crystal structure
```
data_Rb2NpTlO5
_cell_length_a 4.3550
_cell_length_b 6.4643
_cell_length_c 13.0915
_cell_angle_alpha 90.00
_cell_angle_beta 90.00
_cell_angle_gamma 90.00
_symmetry_space_group_name_H-M 'I m m m'
_symmetry_Int_Tables_number 71
_symmetry_space_group_name_Hall '-I 2 2'
loop_
_atom_site_label
_atom_site_fract_x
_atom_site_fract_y
_atom_site_fract_z
Rb1 0.0000 0.0000 0.2268
Np1 0.0000 0.5000 0.5000
Tl1 0.0000 0.5000 0.0000
O1 0.0000 0.0000 0.0000
O2 0.0000 0.2870 0.3923
```

Most intense lines, 5° ≤ 2θ ≤ 70°, low angle first:
2θ 13.53, I = 35; 2θ 27.25, I = 22; 2θ 27.60, I = 24; 2θ 28.22, I = 100; 2θ 39.17, I = 26; 2θ 48.76, I = 18; 2θ 49.19, I = 21; 2θ 58.36, I = 16

***

Entry 2:
Diffraction record for Zn3Cu13. The powder diffractogram is calculated, not measured: it uses a cell relaxed with GGA-PBE and Cu Kα X-rays.

Crystal structure
```
data_Zn3Cu13
_cell_length_a 7.2250
_cell_length_b 7.3479
_cell_length_c 7.4255
_cell_angle_alpha 90.00
_cell_angle_beta 90.00
_cell_angle_gamma 90.00
_symmetry_space_group_name_H-M 'A m m 2'
_symmetry_Int_Tables_number 38
loop_
_symmetry_equiv_pos_as_xyz
'x,y,z'
'-x,-y,z'
'-x,y,z'
'x,-y,z'
'x,y+1/2,z+1/2'
'-x,-y+1/2,z+1/2'
'-x,y+1/2,z+1/2'
'x,-y+1/2,z+1/2'
loop_
_atom_site_label
_atom_site_fract_x
_atom_site_fract_y
_atom_site_fract_z
Zn1 0.0000 0.0000 0.0000
Zn2 0.2536 0.0000 0.2618
Cu1 0.0000 0.0000 0.5111
Cu2 0.0000 0.2498 0.2570
Cu3 0.2523 0.0000 0.7563
Cu4 0.2519 0.2499 0.0084
Cu5 0.5000 0.0000 0.0064
Cu6 0.5000 0.0000 0.5110
Cu7 0.5000 0.2476 0.7583
```

Most intense lines, 5° ≤ 2θ ≤ 70°, low angle first:
2θ 42.72, I = 100; 2θ 49.07, I = 16; 2θ 49.63, I = 16; 2θ 50.53, I = 15

***

Entry 3:
Diffraction record for Re3Ge7. The powder diffractogram is calculated, not measured: it uses a cell relaxed with GGA-PBE and Cu Kα X-rays.

Crystal structure
```
data_Re3Ge7
_cell_length_a 3.2642
_cell_length_b 9.1284
_cell_length_c 22.1393
_cell_angle_alpha 90.00
_cell_angle_beta 90.00
_cell_angle_gamma 90.00
_symmetry_space_group_name_H-M 'C m c m'
_symmetry_Int_Tables_number 63
_symmetry_space_group_name_Hall '-C 2c 2'
loop_
_atom_site_label
_atom_site_fract_x
_atom_site_fract_y
_atom_site_fract_z
Re1 0.0000 0.0188 0.2500
Re2 0.0000 0.4265 0.5593
Ge1 0.0000 0.1459 0.5321
Ge2 0.0000 0.1762 0.1363
Ge3 0.0000 0.2636 0.7500
Ge4 0.0000 0.4409 0.1622
```

Most intense lines, 5° ≤ 2θ ≤ 70°, low angle first:
2θ 19.45, I = 44; 2θ 30.18, I = 51; 2θ 35.56, I = 100; 2θ 40.76, I = 53; 2θ 42.42, I = 64; 2θ 44.03, I = 83; 2θ 44.67, I = 60; 2θ 45.60, I = 36

***

Entry 4:
Diffraction record for Er3SnRu2. The powder diffractogram is calculated, not measured: it uses a cell relaxed with GGA-PBE and Cu Kα X-rays.

Crystal structure
```
data_Er3SnRu2
_cell_length_a 3.4284
_cell_length_b 3.4284
_cell_length_c 10.9971
_cell_angle_alpha 90.00
_cell_angle_beta 90.00
_cell_angle_gamma 90.00
_symmetry_space_group_name_H-M 'P 4/m m m'
_symmetry_Int_Tables_number 123
_symmetry_space_group_name_Hall '-P 4 2'
loop_
_atom_site_label
_atom_site_fract_x
_atom_site_fract_y
_atom_site_fract_z
Er1 0.0000 0.0000 0.0000
Er2 0.0000 0.0000 0.2983
Sn1 0.5000 0.5000 0.5000
Ru1 0.5000 0.5000 0.1560
```

Most intense lines, 5° ≤ 2θ ≤ 70°, low angle first:
2θ 8.04, I = 6; 2θ 30.73, I = 6; 2θ 35.86, I = 100; 2θ 37.09, I = 55; 2θ 42.13, I = 11; 2θ 53.45, I = 19; 2θ 63.65, I = 10; 2θ 66.05, I = 34

***

Entry 5:
Diffraction record for CeTmHg5. The powder diffractogram is calculated, not measured: it uses a cell relaxed with GGA-PBE and Cu Kα X-rays.

Crystal structure
```
data_CeTmHg5
_cell_length_a 6.3500
_cell_length_b 8.6537
_cell_length_c 6.8990
_cell_angle_alpha 90.00
_cell_angle_beta 90.00
_cell_angle_gamma 90.00
_symmetry_space_group_name_H-M 'C m m m'
_symmetry_Int_Tables_number 65
_symmetry_space_group_name_Hall '-C 2 2'
loop_
_atom_site_label
_atom_site_fract_x
_atom_site_fract_y
_atom_site_fract_z
Ce1 0.0000 0.0000 0.0000
Tm1 0.0000 0.5000 0.5000
Hg1 0.0000 0.0000 0.5000
Hg2 0.2500 0.2500 0.2459
```

Most intense lines, 5° ≤ 2θ ≤ 70°, low angle first:
2θ 33.22, I = 100; 2θ 35.06, I = 87; 2θ 38.54, I = 67; 2θ 41.75, I = 27; 2θ 53.10, I = 13; 2θ 58.11, I = 52; 2θ 65.23, I = 29; 2θ 68.59, I = 25

***

Entry 6:
Diffraction record for UTiCr. The powder diffractogram is calculated, not measured: it uses a cell relaxed with GGA-PBE and Cu Kα X-rays.

Crystal structure
```
data_UTiCr
_cell_length_a 4.8241
_cell_length_b 4.8241
_cell_length_c 15.9178
_cell_angle_alpha 90.00
_cell_angle_beta 90.00
_cell_angle_gamma 120.00
_symmetry_space_group_name_H-M 'R -3 m'
_symmetry_Int_Tables_number 166
_symmetry_space_group_name_Hall '-R 3 2"'
loop_
_atom_site_label
_atom_site_fract_x
_atom_site_fract_y
_atom_site_fract_z
U1 0.0000 0.0000 0.1184
Ti1 0.0000 0.0000 0.4087
Cr1 0.0000 0.0000 0.2567
```

Most intense lines, 5° ≤ 2θ ≤ 70°, low angle first:
2θ 16.71, I = 34; 2θ 22.00, I = 52; 2θ 31.04, I = 61; 2θ 35.45, I = 26; 2θ 37.28, I = 100; 2θ 41.11, I = 23; 2θ 49.27, I = 18; 2θ 50.83, I = 26

***

Entry 7:
Diffraction record for La3S2. The powder diffractogram is calculated, not measured: it uses a cell relaxed with GGA-PBE and Cu Kα X-rays.

Crystal structure
```
data_La3S2
_cell_length_a 7.1474
_cell_length_b 7.1474
_cell_length_c 20.1803
_cell_angle_alpha 90.00
_cell_angle_beta 90.00
_cell_angle_gamma 120.00
_symmetry_space_group_name_H-M 'R -3 c'
_symmetry_Int_Tables_number 167
_symmetry_space_group_name_Hall '-R 3 2"c'
loop_
_atom_site_label
_atom_site_fract_x
_atom_site_fract_y
_atom_site_fract_z
La1 0.0000 0.3307 0.2500
S1 0.0000 0.0000 0.1634
```

Most intense lines, 5° ≤ 2θ ≤ 70°, low angle first:
2θ 24.92, I = 10; 2θ 26.50, I = 18; 2θ 28.28, I = 100; 2θ 36.69, I = 29; 2θ 43.88, I = 27; 2θ 47.89, I = 23; 2θ 52.00, I = 18; 2θ 53.03, I = 17

***

Entry 8:
Diffraction record for Cd3Si. The powder diffractogram is calculated, not measured: it uses a cell relaxed with GGA-PBE and Cu Kα X-rays.

Crystal structure
```
data_Cd3Si
_cell_length_a 6.9161
_cell_length_b 8.9377
_cell_length_c 5.7136
_cell_angle_alpha 90.00
_cell_angle_beta 90.00
_cell_angle_gamma 90.00
_symmetry_space_group_name_H-M 'P n m a'
_symmetry_Int_Tables_number 62
loop_
_symmetry_equiv_pos_as_xyz
'x,y,z'
'-x,-y,-z'
'-x+1/2,-y,z+1/2'
'x+1/2,y,-z+1/2'
'x+1/2,-y+1/2,-z+1/2'
'-x+1/2,y+1/2,z+1/2'
'-x,y+1/2,-z'
'x,-y+1/2,z'
loop_
_atom_site_label
_atom_site_fract_x
_atom_site_fract_y
_atom_site_fract_z
Cd1 0.0220 0.2500 0.0585
Cd2 0.1783 0.5377 0.3207
Si1 0.1161 0.2500 0.5307
```

Most intense lines, 5° ≤ 2θ ≤ 70°, low angle first:
2θ 28.45, I = 76; 2θ 30.21, I = 61; 2θ 32.75, I = 100; 2θ 33.94, I = 78; 2θ 36.42, I = 60; 2θ 37.36, I = 69; 2θ 39.65, I = 52; 2θ 42.27, I = 47

***

Entry 9:
Diffraction record for SmTh3C3. The powder diffractogram is calculated, not measured: it uses a cell relaxed with GGA-PBE and Cu Kα X-rays.

Crystal structure
```
data_SmTh3C3
_cell_length_a 10.5425
_cell_length_b 10.6077
_cell_length_c 5.3565
_cell_angle_alpha 90.00
_cell_angle_beta 90.00
_cell_angle_gamma 90.00
_symmetry_space_group_name_H-M 'C m c m'
_symmetry_Int_Tables_number 63
_symmetry_space_group_name_Hall '-C 2c 2'
loop_
_atom_site_label
_atom_site_fract_x
_atom_site_fract_y
_atom_site_fract_z
Sm1 0.0000 0.1363 0.2500
Th1 0.0000 0.3802 0.7500
Th2 0.2464 0.3750 0.2500
C1 0.0000 0.3791 0.2500
C2 0.2490 0.3731 0.7500
```

Most intense lines, 5° ≤ 2θ ≤ 70°, low angle first:
2θ 29.13, I = 100; 2θ 33.46, I = 21; 2θ 33.80, I = 20; 2θ 34.02, I = 20; 2θ 57.17, I = 16; 2θ 57.62, I = 15; 2θ 57.91, I = 15; 2θ 60.39, I = 15

***

Entry 10:
Diffraction record for LuThMn. The powder diffractogram is calculated, not measured: it uses a cell relaxed with GGA-PBE and Cu Kα X-rays.

Crystal structure
```
data_LuThMn
_cell_length_a 3.3647
_cell_length_b 3.3647
_cell_length_c 12.5458
_cell_angle_alpha 90.00
_cell_angle_beta 90.00
_cell_angle_gamma 90.00
_symmetry_space_group_name_H-M 'I 4 m m'
_symmetry_Int_Tables_number 107
_symmetry_space_group_name_Hall 'I 4 -2'
loop_
_atom_site_label
_atom_site_fract_x
_atom_site_fract_y
_atom_site_fract_z
Lu1 0.0000 0.0000 0.0000
Th1 0.0000 0.0000 0.7375
Mn1 0.0000 0.0000 0.3652
```

Most intense lines, 5° ≤ 2θ ≤ 70°, low angle first:
2θ 27.44, I = 60; 2θ 28.46, I = 33; 2θ 34.20, I = 100; 2θ 37.81, I = 58; 2θ 45.07, I = 27; 2θ 48.00, I = 33; 2θ 54.55, I = 20; 2θ 65.98, I = 30

***

Entry 11:
Diffraction record for LiMg2Pd2. The powder diffractogram is calculated, not measured: it uses a cell relaxed with GGA-PBE and Cu Kα X-rays.

Crystal structure
```
data_LiMg2Pd2
_cell_length_a 8.3781
_cell_length_b 7.1566
_cell_length_c 5.6986
_cell_angle_alpha 90.00
_cell_angle_beta 90.00
_cell_angle_gamma 90.00
_symmetry_space_group_name_H-M 'P b c m'
_symmetry_Int_Tables_number 57
loop_
_symmetry_equiv_pos_as_xyz
'x,y,z'
'-x,-y,-z'
'-x,-y,z+1/2'
'x,y,-z+1/2'
'x,-y+1/2,-z'
'-x,y+1/2,z'
'-x,y+1/2,-z+1/2'
'x,-y+1/2,z+1/2'
loop_
_atom_site_label
_atom_site_fract_x
_atom_site_fract_y
_atom_site_fract_z
Li1 0.1198 0.0857 0.2500
Mg1 0.1860 0.0410 0.7500
Mg2 0.3829 0.6070 0.7500
Pd1 0.1001 0.7500 0.0000
Pd2 0.3756 0.2500 0.0000
```

Most intense lines, 5° ≤ 2θ ≤ 70°, low angle first:
2θ 24.62, I = 100; 2θ 24.88, I = 48; 2θ 31.40, I = 20; 2θ 40.30, I = 83; 2θ 40.47, I = 46; 2θ 43.66, I = 38; 2θ 54.76, I = 18; 2θ 60.67, I = 19

***

Entry 12:
Diffraction record for Th5As4P. The powder diffractogram is calculated, not measured: it uses a cell relaxed with GGA-PBE and Cu Kα X-rays.

Crystal structure
```
data_Th5As4P
_cell_length_a 9.4564
_cell_length_b 9.4564
_cell_length_c 5.9899
_cell_angle_alpha 90.00
_cell_angle_beta 90.00
_cell_angle_gamma 90.00
_symmetry_space_group_name_H-M 'I 4/m'
_symmetry_Int_Tables_number 87
_symmetry_space_group_name_Hall '-I 4'
loop_
_atom_site_label
_atom_site_fract_x
_atom_site_fract_y
_atom_site_fract_z
Th1 0.0000 0.0000 0.0000
Th2 0.0982 0.7071 0.5000
As1 0.0973 0.6987 0.0000
P1 0.0000 0.0000 0.5000
```

Most intense lines, 5° ≤ 2θ ≤ 70°, low angle first:
2θ 25.79, I = 53; 2θ 29.86, I = 100; 2θ 42.74, I = 76; 2θ 50.59, I = 27; 2θ 53.01, I = 27; 2θ 61.97, I = 4; 2θ 62.08, I = 8; 2θ 68.33, I = 11

***

Entry 13:
Diffraction record for ZrCd6Hg2. The powder diffractogram is calculated, not measured: it uses a cell relaxed with GGA-PBE and Cu Kα X-rays.

Crystal structure
```
data_ZrCd6Hg2
_cell_length_a 12.9554
_cell_length_b 4.4895
_cell_length_c 7.1866
_cell_angle_alpha 90.00
_cell_angle_beta 106.63
_cell_angle_gamma 90.00
_symmetry_space_group_name_H-M 'C 1 2/m 1'
_symmetry_Int_Tables_number 12
loop_
_symmetry_equiv_pos_as_xyz
'x,y,z'
'-x,-y,-z'
'-x,y,-z'
'x,-y,z'
'x+1/2,y+1/2,z'
'-x+1/2,-y+1/2,-z'
'-x+1/2,y+1/2,-z'
'x+1/2,-y+1/2,z'
loop_
_atom_site_label
_atom_site_fract_x
_atom_site_fract_y
_atom_site_fract_z
Zr1 0.0000 0.0000 0.0000
Cd1 0.1068 0.0000 0.6586
Cd2 0.1753 0.5000 0.0014
Cd3 0.2204 0.0000 0.3385
Hg1 0.0534 0.5000 0.3104
```

Most intense lines, 5° ≤ 2θ ≤ 70°, low angle first:
2θ 34.65, I = 100; 2θ 35.01, I = 97; 2θ 39.25, I = 34; 2θ 40.17, I = 34; 2θ 41.84, I = 29; 2θ 57.42, I = 22; 2θ 59.39, I = 21; 2θ 69.46, I = 13